Computed X-ray diffraction stick pattern
Compound: Sr5Ca3Ti5Mn3O24
Radiation: Cu Kα, 1.54184 Å
Structure: DFT lattice parameters and positions (PBE+U)
Kinematic intensities with the Lorentz-polarization factor, no thermal factor.

Principal peaks in the range 5° ≤ 2θ ≤ 70°, sorted by position:
2θ/deg, I/Imax
32.6, 100
32.6, 20
40.2, 16
46.7, 33
46.8, 16
58.1, 24
58.1, 19
68.2, 17

Crystal structure
```
data_Sr5Ca3Ti5Mn3O24
_space_group_name_H-M_alt 'P 1'
_space_group_IT_number 1
_cell_length_a 7.7637
_cell_length_b 7.7783
_cell_length_c 7.7901
_cell_angle_alpha 90.09
_cell_angle_beta 90.03
_cell_angle_gamma 90.10
loop_
_space_group_symop_operation_xyz
'x,y,z'
loop_
_atom_site_label
_atom_site_type_symbol
_atom_site_fract_x
_atom_site_fract_y
_atom_site_fract_z
_atom_site_occupancy
Sr1 Sr 0.0000 0.0000 0.0000 1
Sr2 Sr 0.0001 0.4931 0.4969 1
Sr3 Sr 0.0031 0.0032 0.4965 1
Sr4 Sr 0.5004 0.5084 0.5086 1
Sr5 Sr 0.9979 0.4975 0.9998 1
Ca1 Ca 0.5010 0.5147 0.0172 1
Ca2 Ca 0.5034 0.0248 0.0160 1
Ca3 Ca 0.5046 0.0183 0.5230 1
Ti1 Ti 0.2548 0.2570 0.7559 1
Ti2 Ti 0.2551 0.7554 0.7613 1
Ti3 Ti 0.2569 0.7605 0.2562 1
Ti4 Ti 0.7485 0.7602 0.2571 1
Ti5 Ti 0.7508 0.7538 0.7596 1
Mn1 Mn 0.2541 0.2546 0.2533 1
Mn2 Mn 0.7465 0.2549 0.2530 1
Mn3 Mn 0.7475 0.2544 0.7546 1
O1 O 0.2176 0.7384 0.9991 1
O2 O 0.2297 0.5022 0.7347 1
O3 O 0.2315 0.2372 0.4989 1
O4 O 0.2338 0.0071 0.2301 1
O5 O 0.2746 0.5001 0.2639 1
O6 O 0.2762 0.0042 0.7698 1
O7 O 0.2837 0.2726 0.0052 1
O8 O 0.2864 0.7761 0.4977 1
O9 O 0.4985 0.7232 0.7833 1
O10 O 0.4989 0.7693 0.2046 1
O11 O 0.4997 0.2148 0.2822 1
O12 O 0.5020 0.2697 0.7254 1
O13 O 0.7075 0.2815 0.0029 1
O14 O 0.7104 0.7800 0.4981 1
O15 O 0.7181 0.0072 0.7776 1
O16 O 0.7252 0.4997 0.2692 1
O17 O 0.7641 0.0075 0.2254 1
O18 O 0.7692 0.4999 0.7300 1
O19 O 0.7708 0.2253 0.5025 1
O20 O 0.7772 0.7348 0.9992 1
O21 O 0.9959 0.2341 0.7765 1
O22 O 0.9970 0.7740 0.7218 1
O23 O 0.9978 0.7401 0.2790 1
O24 O 0.9990 0.2732 0.2273 1
```